(1)
Diffraction record for Dy2Y5In5. The PXRD pattern is simulated, not measured: it uses a DFT-relaxed cell (GGA-PBE, Alexandria) and a wavelength of 1.5418 Å.
Lines closer than 0.1° are merged.

Crystal structure
a b c (Å): 6.5097 6.5097 12.0157
angles (deg): 108.55 108.55 45.77
Atoms (fractional coordinates):
1 Dy 0.0717 0.0717 0.2608
2 Dy 0.9283 0.9283 0.7392
3 Y 0.3477 0.3477 0.4967
4 Y 0.3626 0.3626 0.2209
5 Y 0.5000 0.5000 0.0000
6 Y 0.6374 0.6374 0.7791
7 Y 0.6523 0.6523 0.5033
8 In 0.0000 0.0000 0.5000
9 In 0.1653 0.1653 0.9640
10 In 0.2641 0.2641 0.7200
11 In 0.7359 0.7359 0.2800
12 In 0.8347 0.8347 0.0360

Most intense lines, 2θ = 10–80°, in order of rising 2θ:
| two_theta | I (rel.) |
| --- | --- |
| 31.74 | 46 |
| 32.51 | 90 |
| 32.81 | 100 |
| 35.46 | 52 |
| 45.36 | 14 |
| 48.32 | 28 |
| 56.83 | 15 |
| 58.85 | 13 |
| 61.81 | 14 |
| 62.00 | 15 |

---

(2)
Diffraction record for Dy4Y5In4. The PXRD pattern is simulated, not measured: it uses a DFT-relaxed cell (GGA-PBE, Alexandria) and a wavelength of 1.5418 Å.
Lines closer than 0.1° are merged.

Crystal structure
a b c (Å): 8.9994 8.9994 8.9994
angles (deg): 94.59 94.59 147.14
Atoms (fractional coordinates):
1 Dy 0.0976 0.3926 0.4902
2 Dy 0.3926 0.9024 0.2950
3 Dy 0.6074 0.0976 0.7050
4 Dy 0.9024 0.6074 0.5098
5 Y 0.0000 0.0000 0.0000
6 Y 0.3128 0.5975 0.9103
7 Y 0.4025 0.3128 0.7153
8 Y 0.5975 0.6872 0.2847
9 Y 0.6872 0.4025 0.0897
10 In 0.1066 0.7656 0.8722
11 In 0.2344 0.1066 0.3410
12 In 0.7656 0.8934 0.6590
13 In 0.8934 0.2344 0.1278

Most intense lines, 2θ = 10–80°, in order of rising 2θ:
| two_theta | I (rel.) |
| --- | --- |
| 10.25 | 8 |
| 29.26 | 10 |
| 31.74 | 100 |
| 35.26 | 21 |
| 37.57 | 18 |
| 52.47 | 13 |
| 57.90 | 9 |
| 61.08 | 15 |
| 65.31 | 7 |
| 68.17 | 8 |

---

(3)
Diffraction record for Dy12ZnIn6. The PXRD pattern is simulated, not measured: it uses a DFT-relaxed cell (GGA-PBE, Alexandria) and a wavelength of 1.5418 Å.
Lines closer than 0.1° are merged.

Crystal structure
a b c (Å): 8.7747 8.7747 8.7747
angles (deg): 100.12 100.12 100.12
Atoms (fractional coordinates):
1 Dy 0.0402 0.6825 0.9422
2 Dy 0.0578 0.9598 0.3175
3 Dy 0.1818 0.4281 0.5653
4 Dy 0.3175 0.0578 0.9598
5 Dy 0.4281 0.5653 0.1818
6 Dy 0.4347 0.8182 0.5719
7 Dy 0.5653 0.1818 0.4281
8 Dy 0.5719 0.4347 0.8182
9 Dy 0.6825 0.9422 0.0402
10 Dy 0.8182 0.5719 0.4347
11 Dy 0.9422 0.0402 0.6825
12 Dy 0.9598 0.3175 0.0578
13 Zn 0.0000 0.0000 0.0000
14 In 0.1340 0.6241 0.3040
15 In 0.3040 0.1340 0.6241
16 In 0.3758 0.6960 0.8660
17 In 0.6242 0.3040 0.1340
18 In 0.6960 0.8660 0.3758
19 In 0.8660 0.3758 0.6960

Most intense lines, 2θ = 10–80°, in order of rising 2θ:
| two_theta | I (rel.) |
| --- | --- |
| 21.44 | 43 |
| 24.91 | 56 |
| 30.20 | 41 |
| 31.30 | 61 |
| 35.30 | 100 |
| 35.73 | 92 |
| 36.68 | 20 |
| 45.82 | 17 |
| 51.10 | 29 |
| 68.10 | 19 |

---

(4)
Diffraction record for Dy3Zn2In3. The PXRD pattern is simulated, not measured: it uses a DFT-relaxed cell (GGA-PBE, Alexandria) and a wavelength of 1.5418 Å.
Lines closer than 0.1° are merged.

Crystal structure
a b c (Å): 5.9606 5.9606 15.3409
angles (deg): 90.00 90.00 134.89
Atoms (fractional coordinates):
1 Dy 0.0820 0.9180 0.6123
2 Dy 0.0820 0.9180 0.8877
3 Dy 0.3511 0.6489 0.7500
4 Dy 0.6489 0.3511 0.2500
5 Dy 0.9180 0.0820 0.1123
6 Dy 0.9180 0.0820 0.3877
7 Zn 0.2096 0.7904 0.1085
8 Zn 0.2096 0.7904 0.3915
9 Zn 0.7904 0.2096 0.6085
10 Zn 0.7904 0.2096 0.8915
11 In 0.3612 0.6388 0.2500
12 In 0.3776 0.6224 0.5390
13 In 0.3776 0.6224 0.9610
14 In 0.6224 0.3776 0.0390
15 In 0.6224 0.3776 0.4610
16 In 0.6388 0.3612 0.7500

Most intense lines, 2θ = 10–80°, in order of rising 2θ:
| two_theta | I (rel.) |
| --- | --- |
| 31.25 | 16 |
| 31.51 | 100 |
| 31.81 | 29 |
| 32.53 | 22 |
| 33.43 | 21 |
| 35.10 | 14 |
| 35.96 | 53 |
| 39.28 | 31 |
| 39.41 | 41 |
| 62.44 | 15 |